1.
Diffraction record for Ba2NaDyF8. The powder X-ray diffraction pattern is simulated, not measured: it uses a cell relaxed with PBE and a wavelength of 1.5418 Å.
Neutral-atom scattering factors, no anomalous dispersion.

a = 7.2286 Å, b = 7.2286 Å, c = 7.2286 Å
α = 131.48°, β = 131.48°, γ = 71.05°
Fractional positions:
Ba 0.0000 0.0000 0.0000
Ba 0.7500 0.2500 0.5000
Na 0.5000 0.5000 0.0000
Dy 0.2500 0.7500 0.5000
F 0.1435 0.0949 0.5075
F 0.1435 0.6360 0.0485
F 0.3640 0.4125 0.5075
F 0.3640 0.8565 0.9515
F 0.5875 0.0949 0.9515
F 0.5875 0.6360 0.4925
F 0.9051 0.4125 0.0485
F 0.9051 0.8565 0.4925

Main lines, by intensity (2θ from 10° to 90°):
two_theta, I (rel.)
26.07, 100
43.29, 44
51.04, 31
43.07, 22
16.72, 19
51.42, 15
30.09, 15
69.27, 13
79.12, 12
15.06, 11

2.
Diffraction record for Ca2Al2SiO8. The powder X-ray diffraction pattern is simulated, not measured: it uses a cell relaxed with PBE and a wavelength of 1.5418 Å.
Neutral-atom scattering factors, no anomalous dispersion.

a = 7.7191 Å, b = 7.7191 Å, c = 7.7191 Å
α = 108.83°, β = 108.83°, γ = 110.76°
Fractional positions:
Ca 0.1961 0.1961 0.6919
Ca 0.4958 0.8039 0.0000
Ca 0.5042 0.5042 0.3081
Ca 0.8039 0.4958 0.0000
Al 0.0000 0.2515 0.2515
Al 0.0000 0.7485 0.7485
Al 0.2515 0.0000 0.2515
Al 0.7485 0.0000 0.7485
Si 0.2500 0.7500 0.5000
Si 0.7500 0.2500 0.5000
O 0.0696 0.5138 0.2931
O 0.0728 0.7764 0.0000
O 0.2207 0.7766 0.7069
O 0.2234 0.9304 0.4442
O 0.2236 0.2236 0.2963
O 0.2950 0.4866 0.0000
O 0.4862 0.7793 0.5558
O 0.4866 0.2950 0.0000
O 0.5134 0.5134 0.8083
O 0.5138 0.0696 0.2931
O 0.7050 0.7050 0.1917
O 0.7764 0.0728 0.0000
O 0.7766 0.2207 0.7069
O 0.7793 0.4862 0.5558
O 0.9272 0.9272 0.7037
O 0.9304 0.2234 0.4442

Main lines, by intensity (2θ from 10° to 90°):
two_theta, I (rel.)
24.37, 100
31.53, 72
24.67, 49
42.75, 41
32.20, 39
34.88, 37
58.86, 34
49.94, 22
60.48, 20
43.25, 17

3.
Diffraction record for Ho5Tl4. The powder X-ray diffraction pattern is simulated, not measured: it uses a cell relaxed with PBE and a wavelength of 1.5418 Å.
Neutral-atom scattering factors, no anomalous dispersion.

a = 9.2838 Å, b = 9.2838 Å, c = 6.6876 Å
α = 90.00°, β = 90.00°, γ = 120.00°
Fractional positions:
Ho 0.0000 0.2891 0.2500
Ho 0.0000 0.7109 0.7500
Ho 0.2891 0.0000 0.2500
Ho 0.2891 0.2891 0.7500
Ho 0.3333 0.6667 0.0000
Ho 0.3333 0.6667 0.5000
Ho 0.6667 0.3333 0.0000
Ho 0.6667 0.3333 0.5000
Ho 0.7109 0.0000 0.7500
Ho 0.7109 0.7109 0.2500
Tl 0.0000 0.0000 0.0000
Tl 0.0000 0.0000 0.5000
Tl 0.0000 0.3742 0.7500
Tl 0.0000 0.6258 0.2500
Tl 0.3742 0.0000 0.7500
Tl 0.3742 0.3742 0.2500
Tl 0.6258 0.0000 0.2500
Tl 0.6258 0.6258 0.7500

Main lines, by intensity (2θ from 10° to 90°):
two_theta, I (rel.)
33.02, 100
33.44, 88
32.36, 31
47.70, 29
65.84, 25
59.50, 24
42.75, 13
62.71, 12
54.92, 10
59.77, 9

4.
Diffraction record for Cd6PdPt. The powder X-ray diffraction pattern is simulated, not measured: it uses a cell relaxed with PBE and a wavelength of 1.5418 Å.
Neutral-atom scattering factors, no anomalous dispersion.

a = 4.6418 Å, b = 6.8439 Å, c = 7.1957 Å
α = 67.02°, β = 72.23°, γ = 70.31°
Fractional positions:
Cd 0.0798 0.0723 0.2598
Cd 0.2485 0.2461 0.7548
Cd 0.4187 0.4298 0.2408
Cd 0.5813 0.5702 0.7592
Cd 0.7515 0.7539 0.2452
Cd 0.9202 0.9277 0.7402
Pd 0.0000 0.5000 0.0000
Pt 0.5000 0.0000 0.5000

Main lines, by intensity (2θ from 10° to 90°):
two_theta, I (rel.)
39.47, 100
38.81, 98
40.03, 90
39.75, 89
40.22, 87
42.07, 77
16.44, 74
28.31, 72
22.98, 50
27.48, 38

5.
Diffraction record for Sm2Dy17. The powder X-ray diffraction pattern is simulated, not measured: it uses a cell relaxed with PBE and a wavelength of 1.5418 Å.
Neutral-atom scattering factors, no anomalous dispersion.

a = 8.7131 Å, b = 8.7131 Å, c = 8.7131 Å
α = 79.70°, β = 79.70°, γ = 79.70°
Fractional positions:
Sm 0.1751 0.1751 0.1751
Sm 0.8249 0.8249 0.8249
Dy 0.0000 0.5000 0.5000
Dy 0.1295 0.1295 0.6494
Dy 0.1295 0.6494 0.1295
Dy 0.2021 0.5000 0.7979
Dy 0.2021 0.7979 0.5000
Dy 0.3506 0.8705 0.8705
Dy 0.4044 0.4044 0.4044
Dy 0.5000 0.0000 0.5000
Dy 0.5000 0.2021 0.7979
Dy 0.5000 0.5000 0.0000
Dy 0.5000 0.7979 0.2021
Dy 0.5956 0.5956 0.5956
Dy 0.6494 0.1295 0.1295
Dy 0.7979 0.2021 0.5000
Dy 0.7979 0.5000 0.2021
Dy 0.8705 0.3506 0.8705
Dy 0.8705 0.8705 0.3506

Main lines, by intensity (2θ from 10° to 90°):
two_theta, I (rel.)
31.68, 100
35.62, 71
31.46, 61
32.06, 59
27.42, 31
27.67, 30
30.50, 28
57.15, 26
34.57, 20
54.96, 19

6.
Diffraction record for La2PrO4. The powder X-ray diffraction pattern is simulated, not measured: it uses a cell relaxed with PBE and a wavelength of 1.5418 Å.
Neutral-atom scattering factors, no anomalous dispersion.

a = 6.5636 Å, b = 6.5636 Å, c = 6.5636 Å
α = 107.76°, β = 107.76°, γ = 112.96°
Fractional positions:
La 0.0250 0.6250 0.9000
La 0.3750 0.2750 0.4000
La 0.7250 0.1250 0.1000
La 0.8750 0.9750 0.6000
Pr 0.2500 0.7500 0.5000
Pr 0.5000 0.5000 0.0000
O 0.1206 0.3779 0.6120
O 0.1279 0.3706 0.1120
O 0.2586 0.0159 0.8880
O 0.4914 0.8794 0.2573
O 0.6221 0.2341 0.7427
O 0.6294 0.7414 0.7573
O 0.7659 0.5086 0.3880
O 0.9841 0.8721 0.2427

Main lines, by intensity (2θ from 10° to 90°):
two_theta, I (rel.)
28.58, 100
29.56, 67
36.99, 45
39.05, 25
44.68, 25
57.42, 25
36.73, 22
56.03, 20
61.24, 20
44.00, 18

7.
Diffraction record for PuZn2CuO6. The powder X-ray diffraction pattern is simulated, not measured: it uses a cell relaxed with PBE and a wavelength of 1.5418 Å.
Neutral-atom scattering factors, no anomalous dispersion.

a = 5.7103 Å, b = 5.2072 Å, c = 9.4033 Å
α = 90.00°, β = 121.65°, γ = 90.00°
Fractional positions:
Pu 0.0000 0.0000 0.0000
Pu 0.0000 0.5000 0.5000
Zn 0.3340 0.0086 0.7818
Zn 0.3340 0.4914 0.2818
Zn 0.6660 0.5086 0.7182
Zn 0.6660 0.9914 0.2182
Cu 0.5000 0.0000 0.5000
Cu 0.5000 0.5000 0.0000
O 0.0209 0.1892 0.4050
O 0.0209 0.3108 0.9050
O 0.2891 0.6777 0.4481
O 0.2891 0.8223 0.9481
O 0.3589 0.1157 0.2503
O 0.3589 0.3843 0.7503
O 0.6411 0.6157 0.2497
O 0.6411 0.8843 0.7497
O 0.7109 0.1777 0.0519
O 0.7109 0.3223 0.5519
O 0.9791 0.6892 0.0950
O 0.9791 0.8108 0.5950

Main lines, by intensity (2θ from 10° to 90°):
two_theta, I (rel.)
33.38, 100
31.21, 99
20.35, 74
31.48, 57
34.45, 43
23.17, 41
47.35, 39
20.01, 34
35.77, 26
22.21, 24

8.
Diffraction record for PmEr4Zn5. The powder X-ray diffraction pattern is simulated, not measured: it uses a cell relaxed with PBE and a wavelength of 1.5418 Å.
Neutral-atom scattering factors, no anomalous dispersion.

a = 3.5565 Å, b = 3.5565 Å, c = 17.8676 Å
α = 90.00°, β = 90.00°, γ = 90.00°
Fractional positions:
Pm 0.0000 0.0000 0.0000
Er 0.0000 0.0000 0.2042
Er 0.0000 0.0000 0.4017
Er 0.0000 0.0000 0.5983
Er 0.0000 0.0000 0.7958
Zn 0.5000 0.5000 0.1089
Zn 0.5000 0.5000 0.3024
Zn 0.5000 0.5000 0.5000
Zn 0.5000 0.5000 0.6976
Zn 0.5000 0.5000 0.8911

Main lines, by intensity (2θ from 10° to 90°):
two_theta, I (rel.)
35.64, 100
64.08, 24
25.04, 12
51.38, 12
63.91, 11
86.52, 10
75.42, 7
24.92, 6
44.03, 6
51.12, 6

9.
Diffraction record for PmAlZn2Pt. The powder X-ray diffraction pattern is simulated, not measured: it uses a cell relaxed with PBE and a wavelength of 1.5418 Å.
Neutral-atom scattering factors, no anomalous dispersion.

a = 6.3837 Å, b = 6.3837 Å, c = 6.3837 Å
α = 143.98°, β = 140.77°, γ = 54.31°
Fractional positions:
Pm 0.0000 0.0000 0.0000
Al 0.2496 0.7496 0.5000
Zn 0.6116 0.6116 0.0000
Zn 0.7552 0.2552 0.5000
Pt 0.3873 0.3873 0.0000

Main lines, by intensity (2θ from 10° to 90°):
two_theta, I (rel.)
34.70, 100
30.79, 69
31.53, 66
32.77, 54
45.17, 49
64.19, 48
15.60, 41
42.17, 39
46.09, 34
66.43, 31

10.
Diffraction record for TiV2Mo4. The powder X-ray diffraction pattern is simulated, not measured: it uses a cell relaxed with PBE and a wavelength of 1.5418 Å.
Neutral-atom scattering factors, no anomalous dispersion.

a = 11.0809 Å, b = 11.0809 Å, c = 3.1080 Å
α = 90.00°, β = 90.00°, γ = 163.48°
Fractional positions:
Ti 0.0000 0.0000 0.0000
V 0.2906 0.7094 0.5000
V 0.7094 0.2906 0.5000
Mo 0.1454 0.8546 0.0000
Mo 0.4259 0.5741 0.5000
Mo 0.5741 0.4259 0.5000
Mo 0.8546 0.1454 0.0000

Main lines, by intensity (2θ from 10° to 90°):
two_theta, I (rel.)
40.38, 100
40.77, 92
38.00, 58
44.04, 35
74.36, 31
16.17, 28
69.99, 18
42.48, 17
71.38, 17
57.91, 17

11.
Diffraction record for HoScOsRh. The powder X-ray diffraction pattern is simulated, not measured: it uses a cell relaxed with PBE and a wavelength of 1.5418 Å.
Neutral-atom scattering factors, no anomalous dispersion.

a = 3.3099 Å, b = 3.3099 Å, c = 6.6335 Å
α = 90.00°, β = 90.00°, γ = 90.00°
Fractional positions:
Ho 0.0000 0.0000 0.0000
Sc 0.0000 0.0000 0.5109
Os 0.5000 0.5000 0.7392
Rh 0.5000 0.5000 0.2660

Main lines, by intensity (2θ from 10° to 90°):
two_theta, I (rel.)
38.44, 100
69.52, 34
30.18, 13
13.35, 13
55.53, 12
82.31, 7
40.86, 6
55.40, 5
57.34, 5
82.41, 4

12.
Diffraction record for Er3PuO8. The powder X-ray diffraction pattern is simulated, not measured: it uses a cell relaxed with PBE and a wavelength of 1.5418 Å.
Neutral-atom scattering factors, no anomalous dispersion.

a = 5.9663 Å, b = 5.9663 Å, c = 6.6915 Å
α = 90.00°, β = 90.00°, γ = 120.94°
Fractional positions:
Er 0.0000 0.0000 0.0000
Er 0.0000 0.5000 0.7731
Er 0.5000 0.0000 0.2269
Pu 0.0000 0.0000 0.5000
O 0.1904 0.8096 0.5000
O 0.1982 0.2543 0.7296
O 0.2117 0.7883 0.0000
O 0.2543 0.1982 0.2704
O 0.7457 0.8018 0.2704
O 0.7883 0.2117 0.0000
O 0.8018 0.7457 0.7296
O 0.8096 0.1904 0.5000

Main lines, by intensity (2θ from 10° to 90°):
two_theta, I (rel.)
17.33, 100
21.86, 76
40.85, 44
31.82, 44
31.96, 43
35.07, 36
54.56, 36
34.56, 32
32.88, 20
29.96, 18